Structure and theoretical XRD peak list of Sm7Tm3Th (a DFT-relaxed cell (PBE, Alexandria); λ = 1.5418 Å (Cu Kα)).
No peak broadening, texture or thermal motion is included.

Most intense lines, 2θ = 15–90°, low angle first:
| Position (°2θ) | I (rel.) |
| --- | --- |
| 30.7 | 100.0 |
| 31.1 | 32.0 |
| 35.7 | 66.8 |
| 51.1 | 24.0 |
| 51.7 | 23.5 |
| 60.9 | 14.4 |
| 61.1 | 28.2 |
| 61.5 | 13.8 |
| 63.9 | 12.3 |
| 83.4 | 11.9 |

Structural model:
```
11
Lattice="7.1433 0.0000 0.0000 -3.5716 6.1863 0.0000 0.0000 0.0000 8.6301" Properties=species:S:1:pos:R:3 pbc="T T T"
Sm 0.0000 0.0000 0.0000
Sm 0.0000 2.0456 2.9291
Sm -1.8001 5.1635 2.9291
Sm 3.5716 0.0402 0.0133
Sm 1.8206 3.0730 0.0133
Sm 1.8001 5.1635 2.9291
Sm 5.3226 3.0730 0.0133
Tm 1.8080 1.0438 5.7432
Tm 5.3353 1.0438 5.7432
Tm 3.5716 4.0986 5.7432
Th 3.5716 2.0621 2.9041
```



Structure and theoretical XRD peak list of Sm3Tm8Th (a DFT-relaxed cell (PBE, Alexandria); λ = 1.5418 Å (Cu Kα)).
No peak broadening, texture or thermal motion is included.

Most intense lines, 2θ = 15–90°, low angle first:
| Position (°2θ) | I (rel.) |
| --- | --- |
| 28.7 | 23.8 |
| 31.8 | 24.4 |
| 32.9 | 100.0 |
| 43.3 | 15.7 |
| 50.8 | 13.2 |
| 57.3 | 20.8 |
| 61.1 | 22.6 |
| 61.9 | 10.9 |
| 84.0 | 9.4 |
| 88.1 | 8.6 |

Structural model:
```
12
Lattice="-5.3862 5.6366 3.1176 5.3862 -5.6366 3.1176 5.3862 5.6366 -3.1176" Properties=species:S:1:pos:R:3 pbc="T T T"
Sm 0.0000 0.0000 0.0000
Sm 5.3862 2.8182 1.0312
Sm 0.0000 2.8184 4.1488
Tm 1.7763 2.8243 0.9977
Tm 3.6100 -2.8123 4.1154
Tm 3.5466 5.6366 -0.0429
Tm 1.8396 0.0000 3.0747
Tm 1.7763 8.4490 0.9977
Tm 3.6100 2.8123 4.1154
Tm -1.7974 5.6366 3.0623
Tm 1.7974 5.6366 3.0623
Th 5.3862 0.0000 3.1173
```